Record 1
The following is a simulated PXRD pattern of Tb5Pm5Dy. It was derived from a cell relaxed with GGA-PBE, using Cu Kα.

Crystal structure
```
Tb5Pm5Dy
1.0
6.9283 0.0000 0.0000
2.4077 6.5046 0.0000
2.3114 1.5739 8.2715
Tb Pm Dy
5 5 1
Cartesian
0.0000 0.0000 0.0000
5.6435 6.3499 5.2577
4.7557 2.9598 6.0106
6.8918 5.1186 2.2609
6.0039 1.7286 3.0138
3.4287 4.7734 3.0164
2.5614 1.3566 2.1847
4.6680 3.2523 0.0000
9.0860 6.7219 6.0868
8.2187 3.3051 5.2550
1.2039 3.2523 0.0000
```

Most intense lines, 15 to 90 degrees two-theta, sorted by position:
(-1 1 1), 24.93 deg, d = 3.572 Å, I 14; (1 1 -2), 31.19 deg, d = 2.867 Å, I 16; (1 1 3), 31.35 deg, d = 2.853 Å, I 15; (2 2 1), 31.45 deg, d = 2.845 Å, I 42; (0 2 -1), 31.86 deg, d = 2.809 Å, I 35; (2 0 2), 32.00 deg, d = 2.797 Å, I 100; (0 0 3), 32.47 deg, d = 2.757 Å, I 21; (2 -2 0), 45.82 deg, d = 1.980 Å, I 12; (4 2 3), 56.42 deg, d = 1.631 Å, I 14; (0 4 1), 56.63 deg, d = 1.625 Å, I 15

=====

Record 2
The following is a simulated PXRD pattern of Ca2AcReO6. It was derived from a cell relaxed with GGA-PBE, using Cu Kα.

Crystal structure
```
Ca2AcReO6
1.0
5.6973 0.0000 0.0000
0.0000 5.6973 0.0000
0.0000 0.0000 5.4169
Ca Ac Re O
2 1 1 6
Cartesian
0.0000 2.8486 0.0000
2.8486 0.0000 0.0000
0.0000 0.0000 3.2041
2.8486 2.8486 3.4173
0.0000 0.0000 0.8762
1.5731 1.5731 4.2110
1.5731 4.1242 4.2110
2.8486 2.8486 1.6580
4.1242 1.5731 4.2110
4.1242 4.1242 4.2110
```

Most intense lines, 15 to 90 degrees two-theta, sorted by position:
(0 0 1), 16.36 deg, d = 5.417 Å, I 54; (1 1 0), 22.06 deg, d = 4.029 Å, I 53; (1 1 1), 27.59 deg, d = 3.233 Å, I 100; (2 0 0), 31.40 deg, d = 2.849 Å, I 37; (2 0 1), 35.61 deg, d = 2.521 Å, I 20; (1 1 2), 40.12 deg, d = 2.248 Å, I 28; (2 2 0), 45.01 deg, d = 2.014 Å, I 22; (2 0 2), 46.25 deg, d = 1.963 Å, I 25; (3 1 1), 53.61 deg, d = 1.710 Å, I 32; (3 1 2), 61.85 deg, d = 1.500 Å, I 16

=====

Record 3
The following is a simulated PXRD pattern of Cs2CeTeSe4. It was derived from a cell relaxed with GGA-PBE, using Cu Kα.

Crystal structure
```
Cs2CeTeSe4
1.0
8.5595 0.0000 0.0000
0.0000 8.5595 0.0000
0.0000 0.0000 8.9387
Cs Ce Te Se
4 2 2 8
Cartesian
0.0000 0.0000 0.0000
0.0000 4.2797 2.2347
4.2797 0.0000 6.7040
4.2797 4.2797 4.4693
0.0000 4.2797 6.7040
4.2797 0.0000 2.2347
0.0000 0.0000 4.4693
4.2797 4.2797 0.0000
1.3011 2.4224 5.1099
1.8573 5.5809 8.2982
2.4224 7.2584 3.8288
2.9786 1.8573 0.6405
5.5809 6.7022 0.6405
6.1371 1.3011 3.8288
6.7022 2.9786 8.2982
7.2584 6.1371 5.1099
```

Most intense lines, 15 to 90 degrees two-theta, sorted by position:
(2 0 0), 20.75 deg, d = 4.280 Å, I 28; (1 1 2), 24.76 deg, d = 3.595 Å, I 100; (2 1 1), 25.31 deg, d = 3.519 Å, I 27; (2 2 0), 29.52 deg, d = 3.026 Å, I 42; (1 3 2), 38.90 deg, d = 2.315 Å, I 71; (2 0 4), 45.81 deg, d = 1.981 Å, I 21; (4 2 0), 47.51 deg, d = 1.914 Å, I 21; (5 1 2), 58.76 deg, d = 1.571 Å, I 15; (2 4 4), 64.06 deg, d = 1.454 Å, I 14; (3 5 2), 67.11 deg, d = 1.395 Å, I 16

=====

Record 4
The following is a simulated PXRD pattern of Zr6Tl2Bi. It was derived from a cell relaxed with GGA-PBE, using Cu Kα.

Crystal structure
```
Zr6Tl2Bi
1.0
8.7791 0.0000 0.0000
0.0000 9.3280 0.0000
0.0000 0.0000 5.1309
Zr Tl Bi
12 4 2
Cartesian
0.0080 1.5467 0.0000
1.4509 3.8717 2.5654
1.4666 0.7304 2.5654
2.9230 5.3944 0.0000
2.9386 8.5357 0.0000
4.3815 6.2107 2.5654
4.3976 3.1173 2.5654
5.8405 0.7923 0.0000
5.8561 3.9336 0.0000
7.3125 8.5976 2.5654
7.3282 5.4563 2.5654
8.7711 7.7813 0.0000
1.4596 6.9972 2.5654
2.9300 2.3331 0.0000
5.8491 6.9949 0.0000
7.3195 2.3309 2.5654
0.0000 4.6640 0.0000
4.3896 0.0000 2.5654
```

Most intense lines, 15 to 90 degrees two-theta, sorted by position:
(1 1 1), 22.22 deg, d = 4.002 Å, I 10; (1 3 0), 30.50 deg, d = 2.931 Å, I 10; (0 3 1), 33.71 deg, d = 2.659 Å, I 9; (0 0 2), 34.98 deg, d = 2.565 Å, I 31; (3 0 1), 35.29 deg, d = 2.543 Å, I 100; (2 3 0), 35.38 deg, d = 2.537 Å, I 20; (2 3 1), 39.63 deg, d = 2.274 Å, I 9; (2 3 2), 50.60 deg, d = 1.804 Å, I 14; (3 0 3), 62.93 deg, d = 1.477 Å, I 18; (1 6 1), 63.45 deg, d = 1.466 Å, I 22